1.
# UV2PbO9
Simulated X-ray powder pattern, Cu Kα (weighted mean of Kα1 and Kα2). Input: DFT lattice parameters and positions (GGA+U).

Cell and atoms:
```
52
Lattice="7.0220 0.0000 0.0000 0.0000 9.9061 0.0000 -6.4666 0.0000 12.0323" Properties=species:S:1:pos:R:3 pbc="T T T"
U -0.1741 0.0011 3.2610
U -3.4074 4.9520 9.2771
U 0.7295 9.9050 8.7713
U 3.9628 4.9541 2.7551
V -4.9368 2.2529 11.5731
V -1.7035 2.7001 5.5569
V -2.4690 0.4141 8.0608
V 0.7643 4.5390 2.0446
V -0.2089 5.3671 9.9876
V 3.0244 9.4920 3.9715
V 2.2588 7.2060 6.4753
V 5.4921 7.6532 0.4592
Pb -1.0256 6.8647 6.4479
Pb 2.2077 7.9944 0.4317
Pb -1.6523 1.9117 11.6005
Pb 1.5810 3.0414 5.5844
O -3.6028 6.5050 7.5654
O -0.3695 8.3542 1.5492
O -0.8076 4.9730 2.6373
O -4.0410 9.8861 8.6535
O -0.2090 1.1927 1.8862
O -3.4423 3.7604 7.9024
O -2.5693 1.4799 6.6051
O 0.6640 3.4732 0.5889
O -0.4658 1.8626 4.6518
O -3.6991 3.0905 10.6679
O -3.4611 6.1749 10.6443
O -0.2278 8.6843 4.6282
O 2.4097 1.0445 0.3181
O -0.8237 3.9085 6.3342
O 1.7895 5.8582 1.6634
O -1.4438 9.0009 7.6795
O -1.4849 1.1153 9.2908
O 1.7484 3.8378 3.2747
O -1.1931 6.0684 8.7576
O 2.0402 8.7908 2.7415
O 1.9992 0.9052 4.3528
O -1.2341 4.0479 10.3689
O 1.3790 5.9976 5.6981
O -1.8543 8.8616 11.7142
O 0.7832 1.2218 7.4041
O 4.0165 3.7312 1.3879
O 4.2545 6.8157 1.3643
O 1.0211 8.0435 7.3804
O -0.1087 6.4330 11.4433
O 3.1247 8.4262 5.4272
O 3.9977 6.1458 4.1299
O 0.7644 8.7134 10.1460
O 4.5963 0.0200 3.3788
O 1.3630 4.9331 9.3949
O 0.9248 1.5519 10.4830
O 4.1582 3.4012 4.4669
```

The 10 most intense peaks (2θ from 15° to 90°), low angle first:
Position (°2θ)	I/Imax
15.48	31
21.02	33
21.83	23
23.26	100
23.94	21
28.30	24
28.87	19
31.25	27
42.21	19
44.54	24


2.
# VPbO2
Simulated X-ray powder pattern, Cu Kα (weighted mean of Kα1 and Kα2). Input: DFT lattice parameters and positions (GGA+U).

Cell and atoms:
```
16
Lattice="-3.2837 3.2837 5.9856 3.2837 -3.2837 5.9856 3.2837 3.2837 -5.9856" Properties=species:S:1:pos:R:3 pbc="T T T"
V 0.0000 0.0000 0.0000
V -1.6419 1.6419 2.9928
V 0.0000 3.2837 0.0000
V 1.6419 1.6419 2.9928
Pb 1.6419 1.6419 -2.9928
Pb 1.6419 -1.6419 2.9928
Pb 3.2837 0.0000 0.0000
Pb 0.0000 0.0000 5.9856
O 1.9743 -1.6986 5.6359
O 1.3095 1.6986 -0.3497
O 3.3405 0.3324 2.6431
O 0.0568 0.3324 3.3425
O 3.2270 2.9514 2.6431
O -0.0568 2.9514 3.3425
O 1.9743 1.5851 6.3353
O 1.3095 4.9824 0.3497
```

The 10 most intense peaks (2θ from 15° to 90°), low angle first:
Position (°2θ)	I/Imax
15.39	53
29.85	43
31.06	100
31.36	27
38.78	43
49.70	39
53.76	25
64.76	17
65.44	27
81.36	16